Starting from a DFT-relaxed cell (GGA-PBE, Alexandria), the XRD peak list of Zn2PdO4 was calculated for λ = 1.5418 Å (Cu Kα).
Lines closer than 0.1° are merged.

Most intense lines, 10 to 80 degrees two-theta, low angle first:
| 2theta | d (Å) | Rel. int. |
| --- | --- | --- |
| 17.80 | 4.984 | 29 |
| 29.31 | 3.047 | 21 |
| 34.37 | 2.610 | 100 |
| 34.64 | 2.590 | 50 |
| 36.04 | 2.492 | 30 |
| 41.70 | 2.166 | 21 |
| 55.11 | 1.667 | 30 |
| 55.67 | 1.651 | 14 |
| 60.45 | 1.531 | 22 |
| 60.80 | 1.523 | 43 |

Structural model:
a b c (Å): 6.126 6.126 8.572
angles (deg): 90.00 90.00 90.00
Positions (direct):
Zn 0.000 0.235 0.000
Zn 0.000 0.765 0.500
Zn 0.235 0.000 0.750
Zn 0.252 0.252 0.375
Zn 0.252 0.748 0.125
Zn 0.748 0.252 0.625
Zn 0.748 0.748 0.875
Zn 0.765 0.000 0.250
Pd 0.248 0.500 0.750
Pd 0.500 0.248 0.000
Pd 0.500 0.752 0.500
Pd 0.752 0.500 0.250
O 0.018 0.261 0.755
O 0.018 0.739 0.745
O 0.256 0.479 0.988
O 0.256 0.521 0.512
O 0.261 0.018 0.995
O 0.261 0.982 0.505
O 0.479 0.256 0.762
O 0.479 0.744 0.738
O 0.521 0.256 0.238
O 0.521 0.744 0.262
O 0.739 0.018 0.005
O 0.739 0.982 0.495
O 0.744 0.479 0.012
O 0.744 0.521 0.488
O 0.982 0.261 0.245
O 0.982 0.739 0.255